[1]
Starting from a structure optimized by DFT (PBE), the powder diffractogram of Dy7ErTh3 was simulated for a wavelength of 1.5418 Å.
Intensities are scaled so that the largest is 100.

Structure:
Unit cell a=6.4314 b=6.6784 c=8.6215 alpha=101.36 beta=97.07 gamma=96.77
Positions (direct):
Dy: 0.0000 0.0000 0.0000
Dy: 0.0712 0.7143 0.6445
Dy: 0.2063 0.2303 0.7049
Dy: 0.4919 0.7310 0.9254
Dy: 0.5081 0.2690 0.0746
Dy: 0.7937 0.7697 0.2951
Dy: 0.9288 0.2857 0.3555
Er: 0.0000 0.5000 0.0000
Th: 0.3240 0.9464 0.3346
Th: 0.5000 0.5000 0.5000
Th: 0.6760 0.0536 0.6654

The 10 most intense peaks (10° ≤ 2θ ≤ 90°), in order of rising 2θ:
two_theta	I_rel
27.8	16
29.6	14
31.1	24
31.8	31
32.0	100
32.1	60
32.4	68
32.9	59
33.6	36
33.9	25

=====

[2]
Starting from a structure optimized by DFT (PBE), the powder diffractogram of Dy9Er3Th2 was simulated for a wavelength of 1.5418 Å.
Intensities are scaled so that the largest is 100.

Structure:
Unit cell a=9.8919 b=9.8919 c=5.5943 alpha=106.32 beta=106.32 gamma=62.63
Positions (direct):
Dy: 0.0000 0.0000 0.0000
Dy: 0.2850 0.9455 0.6110
Dy: 0.3430 0.6836 0.0079
Dy: 0.5470 0.8753 0.2061
Dy: 0.6476 0.9851 0.8109
Dy: 0.6836 0.3430 0.0079
Dy: 0.8753 0.5470 0.2061
Dy: 0.9455 0.2850 0.6110
Dy: 0.9851 0.6476 0.8109
Er: 0.2088 0.2088 0.2043
Er: 0.3254 0.3254 0.8204
Er: 0.6075 0.6075 0.6024
Th: 0.2266 0.5827 0.3990
Th: 0.5827 0.2266 0.3990

The 10 most intense peaks (10° ≤ 2θ ≤ 90°), in order of rising 2θ:
two_theta	I_rel
31.0	43
32.0	53
32.3	100
32.6	87
45.2	31
47.9	16
55.8	14
57.4	18
63.7	14
63.9	27

=====

[3]
Starting from a structure optimized by DFT (PBE), the powder diffractogram of Dy3Er2Th3 was simulated for a wavelength of 1.5418 Å.
Intensities are scaled so that the largest is 100.

Structure:
Unit cell a=5.0054 b=5.0175 c=10.0636 alpha=90.00 beta=90.00 gamma=90.00
Positions (direct):
Dy: 0.0000 0.0000 0.0000
Dy: 0.0000 0.0000 0.5000
Dy: 0.5000 0.5000 0.0000
Er: 0.5000 0.0000 0.2513
Er: 0.5000 0.0000 0.7487
Th: 0.0000 0.5000 0.2500
Th: 0.0000 0.5000 0.7500
Th: 0.5000 0.5000 0.5000

The 10 most intense peaks (10° ≤ 2θ ≤ 90°), in order of rising 2θ:
two_theta	I_rel
30.9	100
35.7	17
35.8	34
51.5	24
51.6	12
61.1	15
61.3	15
61.4	14
64.3	13
84.0	6

=====

[4]
Starting from a structure optimized by DFT (PBE), the powder diffractogram of Dy7Er2Th3 was simulated for a wavelength of 1.5418 Å.
Intensities are scaled so that the largest is 100.

Structure:
Unit cell a=6.0881 b=5.4925 c=12.0876 alpha=90.00 beta=91.49 gamma=90.00
Positions (direct):
Dy: 0.0000 0.0000 0.0000
Dy: 0.0795 0.5000 0.1725
Dy: 0.2389 0.5000 0.4548
Dy: 0.4396 0.0000 0.1825
Dy: 0.5604 0.0000 0.8175
Dy: 0.7611 0.5000 0.5452
Dy: 0.9205 0.5000 0.8275
Er: 0.3917 0.5000 0.7230
Er: 0.6083 0.5000 0.2770
Th: 0.0648 0.0000 0.6453
Th: 0.5000 0.5000 0.0000
Th: 0.9352 0.0000 0.3547

The 10 most intense peaks (10° ≤ 2θ ≤ 90°), in order of rising 2θ:
two_theta	I_rel
21.8	14
26.2	20
30.9	24
31.5	100
32.6	53
32.8	24
33.9	12
34.3	50
46.9	18
57.5	18

=====

[5]
Starting from a structure optimized by DFT (PBE), the powder diffractogram of DyEr6Th4 was simulated for a wavelength of 1.5418 Å.
Intensities are scaled so that the largest is 100.

Structure:
Unit cell a=18.1085 b=18.1085 c=18.1085 alpha=169.19 beta=161.54 gamma=21.44
Positions (direct):
Dy: 0.0000 0.0000 0.0000
Er: 0.0959 0.5959 0.5000
Er: 0.2671 0.7671 0.5000
Er: 0.3688 0.8688 0.5000
Er: 0.6312 0.1312 0.5000
Er: 0.7329 0.2329 0.5000
Er: 0.9041 0.4041 0.5000
Th: 0.1820 0.1820 0.0000
Th: 0.4559 0.4559 0.0000
Th: 0.5441 0.5441 0.0000
Th: 0.8180 0.8180 0.0000

The 10 most intense peaks (10° ≤ 2θ ≤ 90°), in order of rising 2θ:
two_theta	I_rel
27.2	26
29.0	18
30.8	66
31.7	100
32.1	15
34.0	38
36.6	40
41.5	17
55.3	20
63.7	26

=====

[6]
Starting from a structure optimized by DFT (PBE), the powder diffractogram of Dy4Er19Th6 was simulated for a wavelength of 1.5418 Å.
Intensities are scaled so that the largest is 100.

Structure:
Unit cell a=10.7122 b=10.7122 c=10.7122 alpha=109.47 beta=109.47 gamma=109.47
Positions (direct):
Dy: 0.0000 0.0000 0.3561
Dy: 0.0000 0.3561 0.0000
Dy: 0.3561 0.0000 0.0000
Dy: 0.6439 0.6439 0.6439
Er: 0.0000 0.0000 0.0000
Er: 0.0000 0.2638 0.2638
Er: 0.0000 0.7362 0.7362
Er: 0.0191 0.2101 0.6768
Er: 0.1910 0.9809 0.6577
Er: 0.2101 0.6768 0.0191
Er: 0.2638 0.0000 0.2638
Er: 0.2638 0.2638 0.0000
Er: 0.3232 0.5333 0.3423
Er: 0.3423 0.3232 0.5333
Er: 0.4667 0.7899 0.8090
Er: 0.5333 0.3423 0.3232
Er: 0.6577 0.1910 0.9809
Er: 0.6768 0.0191 0.2101
Er: 0.7362 0.0000 0.7362
Er: 0.7362 0.7362 0.0000
Er: 0.7899 0.8090 0.4667
Er: 0.8090 0.4667 0.7899
Er: 0.9809 0.6577 0.1910
Th: 0.1298 0.5000 0.6298
Th: 0.3702 0.8702 0.5000
Th: 0.5000 0.3702 0.8702
Th: 0.5000 0.6298 0.1298
Th: 0.6298 0.1298 0.5000
Th: 0.8702 0.5000 0.3702

The 10 most intense peaks (10° ≤ 2θ ≤ 90°), in order of rising 2θ:
two_theta	I_rel
27.0	77
28.9	66
30.7	100
35.6	60
37.1	99
42.6	25
54.5	25
60.8	33
61.9	26
64.8	25

=====

[7]
Starting from a structure optimized by DFT (PBE), the powder diffractogram of Dy5Er12Th was simulated for a wavelength of 1.5418 Å.
Intensities are scaled so that the largest is 100.

Structure:
Unit cell a=10.5609 b=10.5609 c=6.1050 alpha=106.68 beta=106.68 gamma=60.02
Positions (direct):
Dy: 0.0000 0.0000 0.0000
Dy: 0.1669 0.1669 0.5006
Dy: 0.3340 0.3340 0.0047
Dy: 0.6660 0.6660 0.9953
Dy: 0.8331 0.8331 0.4994
Er: 0.0006 0.3331 0.9995
Er: 0.1673 0.5005 0.4993
Er: 0.1686 0.8314 0.5000
Er: 0.3331 0.0006 0.9995
Er: 0.3343 0.6657 0.0000
Er: 0.4995 0.8327 0.5007
Er: 0.5005 0.1673 0.4993
Er: 0.6657 0.3343 0.0000
Er: 0.6669 0.9994 0.0005
Er: 0.8314 0.1686 0.5000
Er: 0.8327 0.4995 0.5007
Er: 0.9994 0.6669 0.0005
Th: 0.5000 0.5000 0.5000

The 10 most intense peaks (10° ≤ 2θ ≤ 90°), in order of rising 2θ:
two_theta	I_rel
31.1	100
36.1	51
51.9	24
52.0	12
61.7	25
61.8	18
64.8	6
64.9	6
84.7	6
87.6	11

=====

[8]
Starting from a structure optimized by DFT (PBE), the powder diffractogram of Dy5ErTh was simulated for a wavelength of 1.5418 Å.
Intensities are scaled so that the largest is 100.

Structure:
Unit cell a=9.2657 b=9.2657 c=8.6159 alpha=93.78 beta=93.78 gamma=141.51
Positions (direct):
Dy: 0.0136 0.3863 0.6455
Dy: 0.1479 0.8521 0.7500
Dy: 0.2312 0.5398 0.0374
Dy: 0.3863 0.0136 0.1455
Dy: 0.4602 0.7688 0.4626
Dy: 0.5398 0.2312 0.5374
Dy: 0.6137 0.9864 0.8545
Dy: 0.7688 0.4602 0.9626
Dy: 0.8521 0.1479 0.2500
Dy: 0.9864 0.6137 0.3545
Er: 0.4867 0.5133 0.7500
Er: 0.5133 0.4867 0.2500
Th: 0.0000 0.0000 0.0000
Th: 0.0000 0.0000 0.5000

The 10 most intense peaks (10° ≤ 2θ ≤ 90°), in order of rising 2θ:
two_theta	I_rel
23.8	18
27.9	18
30.7	45
31.4	36
31.6	21
32.2	100
32.7	36
34.7	24
36.2	26
55.5	17